The following is a theoretical X-ray diffraction stick pattern of LaCdInP2. It was derived from DFT lattice parameters and positions (GGA-PBE), using CuKα.
Neutral-atom scattering factors, no anomalous dispersion.

Atomic structure:
a b c (Å): 5.469 5.469 5.489
angles (deg): 90.00 90.00 90.00
Positions (direct):
La 0.000 0.000 0.000
Cd 0.500 0.500 0.000
In 0.500 0.500 0.500
P 0.000 0.500 0.500
P 0.500 0.000 0.500

Principal peaks in the range 2θ from 10° to 90°, in order of rising 2θ:
two_theta  Rel. int.  (hkl)
16.20  20  1 0 0
22.99  100  1 1 0
28.23  36  1 1 1
32.63  29  0 0 2
32.75  58  2 0 0
40.32  47  1 1 2
46.93  61  2 2 0
52.94  18  3 1 0
58.38  21  2 2 2
63.58  20  3 1 2